For Ba2Ga7Au12, the GGA-PBE geometry in Alexandria gives the computed XRD peak list in this record (copper Kα).
Lines closer than 0.1° are merged.

Principal peaks in the range 2θ from 10° to 90°, low angle first:
two_theta	I/Imax
25.0	11
26.9	12
32.4	100
35.5	17
35.8	23
37.0	11
41.3	16
41.3	14
45.1	13
62.2	11

Cell: 5.018 10.094 10.112 Å, 60.10 89.89 89.89°
Atoms (fractional coordinates):
Ba1 0.000 0.000 0.000
Ba2 0.461 0.333 0.333
Ga1 0.556 0.302 0.771
Ga2 0.558 0.769 0.928
Ga3 0.558 0.927 0.302
Ga4 0.730 0.667 0.667
Ga5 0.901 0.031 0.562
Ga6 0.902 0.405 0.030
Ga7 0.908 0.562 0.405
Au1 0.048 0.411 0.779
Au2 0.049 0.807 0.410
Au3 0.050 0.783 0.807
Au4 0.410 0.525 0.923
Au5 0.410 0.923 0.551
Au6 0.416 0.552 0.525
Au7 0.471 0.067 0.733
Au8 0.472 0.732 0.199
Au9 0.473 0.199 0.068
Au10 0.987 0.264 0.600
Au11 0.990 0.134 0.265
Au12 0.991 0.600 0.133

For Li4TlAu3, the GGA-PBE geometry in Alexandria gives the computed XRD peak list in this record (copper Kα).
Lines closer than 0.1° are merged.

Principal peaks in the range 2θ from 10° to 90°, low angle first:
two_theta	I/Imax
26.9	100
29.6	40
38.3	21
38.6	22
40.5	77
49.2	19
49.4	20
64.2	17
68.3	16
71.1	15

Cell: 9.329 6.036 4.696 Å, 90.00 90.00 90.00°
Atoms (fractional coordinates):
Li1 0.000 0.232 0.000
Li2 0.000 0.768 0.000
Li3 0.250 0.232 0.466
Li4 0.250 0.768 0.466
Li5 0.500 0.232 0.000
Li6 0.500 0.768 0.000
Li7 0.750 0.232 0.534
Li8 0.750 0.768 0.534
Tl1 0.000 0.500 0.500
Tl2 0.500 0.500 0.500
Au1 0.000 0.000 0.500
Au2 0.250 0.000 0.964
Au3 0.250 0.500 0.979
Au4 0.500 0.000 0.500
Au5 0.750 0.000 0.036
Au6 0.750 0.500 0.021

For Ba5SeI5, the GGA-PBE geometry in Alexandria gives the computed XRD peak list in this record (copper Kα).
Lines closer than 0.1° are merged.

Principal peaks in the range 2θ from 10° to 90°, low angle first:
two_theta	I/Imax
25.7	100
25.8	46
36.4	18
36.8	75
37.2	18
45.1	19
45.8	20
52.9	13
59.7	9
59.8	18

Cell: 8.415 8.415 9.877 Å, 107.27 107.27 48.54°
Atoms (fractional coordinates):
Ba1 0.000 0.000 0.000
Ba2 0.338 0.338 0.147
Ba3 0.346 0.346 0.691
Ba4 0.654 0.654 0.309
Ba5 0.662 0.662 0.853
Se1 0.500 0.500 0.000
I1 0.157 0.157 0.813
I2 0.172 0.172 0.340
I3 0.500 0.500 0.500
I4 0.828 0.828 0.660
I5 0.843 0.843 0.187